[1]
For Eu3As4Pd4, a crystal structure in Alexandria, relaxed with GGA-PBE gives the simulated powder XRD pattern in this record (a wavelength of 1.5418 Å).
Neutral-atom scattering factors, no anomalous dispersion.

Top 10 peaks for 10 to 90 degrees two-theta, low angle first:
| 2theta | I/Imax |
| --- | --- |
| 29.9 | 30 |
| 32.8 | 100 |
| 35.2 | 17 |
| 40.8 | 38 |
| 41.6 | 29 |
| 43.2 | 26 |
| 52.0 | 13 |
| 61.0 | 23 |
| 61.5 | 18 |
| 66.0 | 12 |

Structural model:
```
Eu3As4Pd4
1.0
4.1883 0.0000 0.0000
0.0000 4.3451 0.0000
0.0000 0.0000 12.8329
Eu As Pd
3 4 4
Direct
0.0000 0.0000 0.0000 Eu
0.0000 0.5000 0.2994 Eu
0.0000 0.5000 0.7006 Eu
0.5000 0.0000 0.3829 As
0.5000 0.0000 0.6171 As
0.5000 0.5000 0.1003 As
0.5000 0.5000 0.8997 As
0.0000 0.0000 0.5000 Pd
0.5000 0.0000 0.1895 Pd
0.5000 0.0000 0.8105 Pd
0.5000 0.5000 0.5000 Pd
```

[2]
For Pa2Al3Zn4, a crystal structure in Alexandria, relaxed with GGA-PBE gives the simulated powder XRD pattern in this record (a wavelength of 1.5418 Å).
Neutral-atom scattering factors, no anomalous dispersion.

Top 10 peaks for 10 to 90 degrees two-theta, low angle first:
| 2theta | I/Imax |
| --- | --- |
| 20.1 | 65 |
| 23.7 | 33 |
| 28.5 | 37 |
| 33.2 | 86 |
| 35.4 | 59 |
| 35.7 | 100 |
| 36.9 | 60 |
| 39.1 | 41 |
| 39.5 | 32 |
| 51.2 | 31 |

Structural model:
```
Pa2Al3Zn4
1.0
2.8746 -7.5117 0.0000
2.8746 7.5117 0.0000
0.0000 0.0000 7.7254
Pa Al Zn
4 6 8
Direct
0.1050 0.8950 0.9019 Pa
0.3950 0.6050 0.4019 Pa
0.6050 0.3950 0.5981 Pa
0.8950 0.1050 0.0981 Pa
0.0000 0.0000 0.5000 Al
0.0204 0.4796 0.7500 Al
0.4796 0.0204 0.2500 Al
0.5000 0.5000 0.0000 Al
0.5204 0.9796 0.7500 Al
0.9796 0.5204 0.2500 Al
0.1778 0.8222 0.5206 Zn
0.1902 0.3098 0.7500 Zn
0.3098 0.1902 0.2500 Zn
0.3222 0.6778 0.0206 Zn
0.6778 0.3222 0.9794 Zn
0.6902 0.8098 0.7500 Zn
0.8098 0.6902 0.2500 Zn
0.8222 0.1778 0.4794 Zn
```

[3]
For YAg3P2S8, a crystal structure in Alexandria, relaxed with GGA-PBE gives the simulated powder XRD pattern in this record (a wavelength of 1.5418 Å).
Neutral-atom scattering factors, no anomalous dispersion.

Top 10 peaks for 10 to 90 degrees two-theta, low angle first:
| 2theta | I/Imax |
| --- | --- |
| 11.3 | 62 |
| 12.3 | 98 |
| 22.0 | 62 |
| 22.6 | 53 |
| 28.3 | 59 |
| 29.5 | 69 |
| 29.9 | 76 |
| 32.7 | 100 |
| 39.4 | 62 |
| 39.5 | 67 |

Structural model:
```
YAg3P2S8
1.0
8.5646 -4.6715 0.0000
8.5646 4.6715 0.0000
-5.1565 0.0000 7.9517
Y Ag P S
2 6 4 16
Direct
0.0350 0.9650 0.7500 Y
0.9650 0.0350 0.2500 Y
0.2349 0.4615 0.9722 Ag
0.4280 0.5720 0.7500 Ag
0.4615 0.2349 0.4722 Ag
0.5385 0.7651 0.5278 Ag
0.5720 0.4280 0.2500 Ag
0.7651 0.5385 0.0278 Ag
0.1439 0.6611 0.3731 P
0.3389 0.8561 0.1269 P
0.6611 0.1439 0.8731 P
0.8561 0.3389 0.6269 P
0.0758 0.2586 0.8114 S
0.1037 0.6291 0.5467 S
0.1347 0.7821 0.9989 S
0.2179 0.8653 0.5011 S
0.2586 0.0758 0.3114 S
0.3195 0.4294 0.2719 S
0.3709 0.8963 0.9533 S
0.4294 0.3195 0.7719 S
0.5706 0.6805 0.2281 S
0.6291 0.1037 0.0467 S
0.6805 0.5706 0.7281 S
0.7414 0.9242 0.6886 S
0.7821 0.1347 0.4989 S
0.8653 0.2179 0.0011 S
0.8963 0.3709 0.4533 S
0.9242 0.7414 0.1886 S
```

[4]
For Ti4Pd, a crystal structure in Alexandria, relaxed with GGA-PBE gives the simulated powder XRD pattern in this record (a wavelength of 1.5418 Å).
Neutral-atom scattering factors, no anomalous dispersion.

Top 10 peaks for 10 to 90 degrees two-theta, low angle first:
| 2theta | I/Imax |
| --- | --- |
| 29.0 | 22 |
| 39.0 | 100 |
| 39.5 | 92 |
| 39.7 | 50 |
| 43.1 | 37 |
| 44.1 | 15 |
| 53.3 | 15 |
| 60.1 | 26 |
| 71.6 | 15 |
| 83.1 | 19 |

Structural model:
```
Ti4Pd
1.0
-2.2683 2.6903 6.7109
2.2683 -2.6903 6.7109
2.2683 2.6903 -6.7109
Ti Pd
8 2
Direct
0.0000 0.0000 0.0000 Ti
0.2003 0.1968 0.0035 Ti
0.3067 0.8032 0.5035 Ti
0.3439 0.5939 0.7500 Ti
0.5000 0.0000 0.5000 Ti
0.6561 0.4061 0.2500 Ti
0.6933 0.1968 0.4965 Ti
0.7997 0.8032 0.9965 Ti
0.1388 0.3888 0.7500 Pd
0.8612 0.6112 0.2500 Pd
```

Copy entry 4 word for word.
For Ti4Pd, a crystal structure in Alexandria, relaxed with GGA-PBE gives the simulated powder XRD pattern in this record (a wavelength of 1.5418 Å).
Neutral-atom scattering factors, no anomalous dispersion.

Top 10 peaks for 10 to 90 degrees two-theta, low angle first:
| 2theta | I/Imax |
| --- | --- |
| 29.0 | 22 |
| 39.0 | 100 |
| 39.5 | 92 |
| 39.7 | 50 |
| 43.1 | 37 |
| 44.1 | 15 |
| 53.3 | 15 |
| 60.1 | 26 |
| 71.6 | 15 |
| 83.1 | 19 |

Structural model:
```
Ti4Pd
1.0
-2.2683 2.6903 6.7109
2.2683 -2.6903 6.7109
2.2683 2.6903 -6.7109
Ti Pd
8 2
Direct
0.0000 0.0000 0.0000 Ti
0.2003 0.1968 0.0035 Ti
0.3067 0.8032 0.5035 Ti
0.3439 0.5939 0.7500 Ti
0.5000 0.0000 0.5000 Ti
0.6561 0.4061 0.2500 Ti
0.6933 0.1968 0.4965 Ti
0.7997 0.8032 0.9965 Ti
0.1388 0.3888 0.7500 Pd
0.8612 0.6112 0.2500 Pd
```